# CsMgHgSb
Computed powder diffractogram, Cu Kα (λ = 1.5418 Å). Input: a GGA-PBE-relaxed structure.
Lines closer than 0.1° are merged.

Top 10 peaks for 2θ = 5–70°, by intensity:
- 29.34°, I 100, (1 1 2)
- 27.04°, I 65, (1 1 1)
- 26.92°, I 48, (1 0 3)
- 37.44°, I 48, (2 0 0)
- 6.44°, I 39, (0 0 1)
- 19.41°, I 32, (0 0 3)
- 54.00°, I 28, (2 2 0)
- 47.96°, I 28, (1 1 6)
- 22.60°, I 26, (1 0 2)
- 62.63°, I 23, (3 1 2)

Cell and atoms:
```
CsMgHgSb
1.0
4.8039 0.0000 0.0000
0.0000 4.8039 0.0000
0.0000 0.0000 13.7186
Cs Mg Hg Sb
2 2 2 2
Direct
0.2500 0.2500 0.2452
0.7500 0.7500 0.7548
0.2500 0.7500 0.5000
0.7500 0.2500 0.5000
0.2500 0.7500 0.0000
0.7500 0.2500 0.0000
0.2500 0.2500 0.6228
0.7500 0.7500 0.3772
```